Structure and computed powder diffraction line list of Mg14CrFeO16 (a crystal structure in the Materials Project, relaxed with GGA+U; a wavelength of 1.5418 Å).
Peak positions follow from Bragg's law for the DFT cell and can differ from measured ones.

Atomic structure:
```
data_Mg14CrFeO16
_space_group_name_H-M_alt 'P m m m'
_space_group_IT_number 47
_space_group_name_Hall '-P 2 2'
_cell_length_a 4.2564
_cell_length_b 8.5204
_cell_length_c 8.6645
_cell_angle_alpha 90.00
_cell_angle_beta 90.00
_cell_angle_gamma 90.00
loop_
_atom_site_label
_atom_site_fract_x
_atom_site_fract_y
_atom_site_fract_z
Mg1 0.0000 0.0000 0.0000
Mg2 0.0000 0.2494 0.2480
Mg3 0.0000 0.5000 0.0000
Mg4 0.5000 0.0000 0.2463
Mg5 0.5000 0.2483 0.5000
Mg6 0.5000 0.2496 0.0000
Mg7 0.5000 0.5000 0.2473
Cr1 0.0000 0.0000 0.5000
Fe1 0.0000 0.5000 0.5000
O1 0.0000 0.0000 0.2358
O2 0.0000 0.2451 0.5000
O3 0.0000 0.2524 0.0000
O4 0.0000 0.5000 0.2454
O5 0.5000 0.0000 0.0000
O6 0.5000 0.0000 0.5000
O7 0.5000 0.2505 0.2516
O8 0.5000 0.5000 0.0000
O9 0.5000 0.5000 0.5000
```

Main lines, by angle (10 to 80 degrees two-theta):
Position (°2θ), Rel. int., h k l
10.21, 9, 0 0 1
20.86, 5, 0 2 0
23.28, 6, 1 0 1
36.33, 26, 1 2 2
41.70, 53, 0 0 4
42.46, 100, 2 0 0
61.02, 58, 2 0 4
61.60, 28, 2 4 0
72.61, 5, 1 2 6
77.16, 26, 2 4 4

=====

Structure and computed powder diffraction line list of Li7Co5O12 (a crystal structure in the Materials Project, relaxed with GGA+U; a wavelength of 1.5418 Å).
Peak positions follow from Bragg's law for the DFT cell and can differ from measured ones.

Atomic structure:
```
data_Li7Co5O12
_space_group_name_H-M_alt 'P -1'
_space_group_IT_number 2
_space_group_name_Hall '-P 1'
_cell_length_a 2.9243
_cell_length_b 6.4068
_cell_length_c 11.8352
_cell_angle_alpha 103.82
_cell_angle_beta 92.03
_cell_angle_gamma 102.78
loop_
_atom_site_label
_atom_site_fract_x
_atom_site_fract_y
_atom_site_fract_z
Li1 0.0000 0.0000 0.0000
Li2 0.0076 0.0000 0.2468
Li3 0.3325 0.6653 0.5851
Li4 0.3406 0.6735 0.0797
Co1 0.0000 0.0000 0.5000
Co2 0.3284 0.6672 0.3351
Co3 0.3410 0.6845 0.8405
O1 0.1580 0.3549 0.2894
O2 0.1645 0.3438 0.7792
O3 0.1796 0.3176 0.5463
O4 0.1844 0.3387 0.0522
O5 0.4790 0.9855 0.3887
O6 0.4897 0.9748 0.8665
```

Main lines, by angle (10 to 80 degrees two-theta):
Position (°2θ), Rel. int., h k l
14.70, 8, 0 1 -1
18.46, 100, 0 1 -2
35.63, 15, -1 1 2
36.62, 12, 1 0 2
36.99, 11, 0 2 2
38.04, 10, 1 -2 0
42.73, 30, 1 0 -4
44.35, 26, 1 -1 4
44.99, 24, 0 3 0
62.86, 8, 0 1 -8

=====

Structure and computed powder diffraction line list of SrLaTiMnO6 (a crystal structure in the Materials Project, relaxed with GGA+U; a wavelength of 1.5418 Å).
Peak positions follow from Bragg's law for the DFT cell and can differ from measured ones.

Atomic structure:
```
data_SrLaTiMnO6
_space_group_name_H-M_alt 'R 3'
_space_group_IT_number 146
_space_group_name_Hall 'R 3'
_cell_length_a 5.6129
_cell_length_b 5.6129
_cell_length_c 13.6154
_cell_angle_alpha 90.00
_cell_angle_beta 90.00
_cell_angle_gamma 120.00
loop_
_atom_site_label
_atom_site_fract_x
_atom_site_fract_y
_atom_site_fract_z
Sr1 0.0000 0.0000 0.0000
La1 0.0000 0.0000 0.5004
Ti1 0.0000 0.0000 0.2509
Mn1 0.0000 0.0000 0.7502
O1 0.0053 0.5462 0.9984
O2 0.1079 0.3392 0.8338
```

Main lines, by angle (10 to 80 degrees two-theta):
Position (°2θ), Rel. int., h k l
22.47, 20, 0 1 2
31.89, 97, 1 1 0
32.10, 100, 1 0 4
39.36, 27, 2 0 2
45.88, 67, 0 2 4
56.82, 22, 3 0 0
56.96, 40, 2 1 4
57.36, 19, 0 1 8
66.65, 18, 2 2 0
67.14, 19, 2 0 8

=====

Structure and computed powder diffraction line list of NaFeS2O2 (a crystal structure in the Materials Project, relaxed with GGA+U; a wavelength of 1.5418 Å).
Peak positions follow from Bragg's law for the DFT cell and can differ from measured ones.

Atomic structure:
```
data_NaFeS2O2
_space_group_name_H-M_alt 'C 1 2/c 1'
_space_group_IT_number 15
_space_group_name_Hall '-C 2yc'
_cell_length_a 10.1039
_cell_length_b 9.1992
_cell_length_c 6.1358
_cell_angle_alpha 90.00
_cell_angle_beta 121.33
_cell_angle_gamma 90.00
loop_
_atom_site_label
_atom_site_fract_x
_atom_site_fract_y
_atom_site_fract_z
Na1 0.0000 0.0810 0.2500
Fe1 0.0000 0.4941 0.7500
S1 0.1658 0.3819 0.1448
O1 0.1577 0.0830 0.6955
```

Main lines, by angle (10 to 80 degrees two-theta):
Position (°2θ), Rel. int., h k l
14.07, 91, 1 1 0
19.30, 90, 0 2 0
25.77, 31, 0 2 1
26.95, 100, 2 2 -1
28.36, 29, 2 2 0
34.22, 35, 0 0 2
37.80, 27, 4 0 -2
39.58, 22, 0 2 2
49.15, 26, 2 0 2
49.63, 21, 2 4 -2

=====

Structure and computed powder diffraction line list of Rb2LiMoF6 (a crystal structure in the Materials Project, relaxed with GGA+U; a wavelength of 1.5418 Å).
Peak positions follow from Bragg's law for the DFT cell and can differ from measured ones.

Atomic structure:
```
data_Rb2LiMoF6
_space_group_name_H-M_alt 'F m -3 m'
_space_group_IT_number 225
_space_group_name_Hall '-F 4 2 3'
_cell_length_a 8.5015
_cell_length_b 8.5015
_cell_length_c 8.5015
_cell_angle_alpha 90.00
_cell_angle_beta 90.00
_cell_angle_gamma 90.00
loop_
_atom_site_label
_atom_site_fract_x
_atom_site_fract_y
_atom_site_fract_z
Rb1 0.2500 0.2500 0.2500
Li1 0.0000 0.0000 0.0000
Mo1 0.0000 0.0000 0.5000
F1 0.0000 0.0000 0.2544
```

Main lines, by angle (10 to 80 degrees two-theta):
Position (°2θ), Rel. int., h k l
18.07, 38, 1 1 1
29.72, 100, 2 2 0
35.01, 19, 3 1 1
36.62, 24, 2 2 2
42.53, 50, 4 0 0
46.57, 8, 3 3 1
52.75, 40, 4 2 2
61.72, 30, 4 4 0
69.99, 18, 6 2 0
77.84, 10, 4 4 4

=====

Structure and computed powder diffraction line list of Fe4Co3P6O24 (a crystal structure in the Materials Project, relaxed with GGA+U; a wavelength of 1.5418 Å).
Peak positions follow from Bragg's law for the DFT cell and can differ from measured ones.

Atomic structure:
```
data_Fe4Co3P6O24
_space_group_name_H-M_alt 'P -1'
_space_group_IT_number 2
_space_group_name_Hall '-P 1'
_cell_length_a 6.4121
_cell_length_b 7.9552
_cell_length_c 9.4111
_cell_angle_alpha 104.47
_cell_angle_beta 108.39
_cell_angle_gamma 101.41
loop_
_atom_site_label
_atom_site_fract_x
_atom_site_fract_y
_atom_site_fract_z
Fe1 0.0462 0.2242 0.0266
Fe2 0.3841 0.9504 0.6135
Co1 0.0000 0.5000 0.5000
Co2 0.2928 0.3057 0.7901
P1 0.0891 0.0960 0.3325
P2 0.2262 0.6484 0.2708
P3 0.3934 0.7235 0.8672
O1 0.0172 0.6918 0.1633
O2 0.0624 0.0503 0.1540
O3 0.1095 0.2899 0.4152
O4 0.1246 0.0354 0.6620
O5 0.2105 0.4500 0.2057
O6 0.2256 0.6954 0.4434
O7 0.2480 0.7720 0.9632
O8 0.2708 0.5326 0.7357
O9 0.3080 0.0416 0.4161
O10 0.3719 0.2731 0.0097
O11 0.4480 0.8634 0.7871
O12 0.4547 0.7686 0.2757
```

Main lines, by angle (10 to 80 degrees two-theta):
Position (°2θ), Rel. int., h k l
13.07, 19, 0 1 -1
18.47, 22, -1 1 1
20.47, 35, 1 -1 1
28.43, 33, 2 0 -1
29.50, 21, 2 -1 0
29.63, 100, 0 2 1
30.06, 75, 0 1 -3
31.55, 17, -2 1 2
33.21, 32, 2 1 -2
34.36, 20, 1 2 -3